For Tb3PmThSc, a DFT-relaxed cell (GGA-PBE, Alexandria) gives the calculated XRD peak list in this record (Cu Kα (λ = 1.5418 Å)).
Neutral-atom scattering factors, no anomalous dispersion.

Cell and atoms:
Unit cell a=7.8804 b=5.0253 c=9.9728 alpha=90.00 beta=108.70 gamma=90.00
Space group P2_1/m (No. 11)
Asymmetric unit:
Tb: 0.1773 0.2500 0.0422
Tb: 0.1768 0.2500 0.5471
Tb: 0.1781 0.7500 0.2905
Pm: 0.1747 0.7500 0.7970
Th: 0.4989 0.2500 0.3758
Sc: 0.5001 0.2500 0.8732

Most intense lines, 2θ = 10–90°, in order of rising 2θ:
Position (°2θ), I/Imax, hkl
31.00, 100.0, 1 1 2
35.73, 17.8, 0 2 0
36.06, 33.2, 1 0 -4
51.64, 12.5, 1 2 -4
51.70, 12.2, 3 2 0
61.28, 14.7, 1 3 2
61.58, 7.0, 3 1 -6
61.71, 13.7, 0 1 6

For Tb5Pm2ThSc, a DFT-relaxed cell (GGA-PBE, Alexandria) gives the calculated XRD peak list in this record (Cu Kα (λ = 1.5418 Å)).
Neutral-atom scattering factors, no anomalous dispersion.

Cell and atoms:
Unit cell a=5.6851 b=21.8737 c=9.5110 alpha=90.00 beta=90.00 gamma=90.00
Space group Cmc2_1 (No. 36)
Asymmetric unit:
Tb: 0.0000 0.0126 0.0000
Tb: 0.0000 0.2679 0.3193
Tb: 0.0000 0.3041 0.7081
Tb: 0.0000 0.3939 0.0353
Tb: 0.0000 0.4719 0.7374
Pm: 0.0000 0.1147 0.3077
Pm: 0.0000 0.1339 0.6989
Th: 0.0000 0.4001 0.4191
Sc: 0.0000 0.1913 0.0036

Most intense lines, 2θ = 10–90°, in order of rising 2θ:
Position (°2θ), I/Imax, hkl
26.18, 16.9, 0 6 1
27.34, 24.2, 1 3 2
31.47, 59.1, 2 0 0
31.94, 100.0, 1 5 2
32.60, 49.0, 1 1 3
32.69, 20.7, 1 7 0
34.07, 42.1, 1 7 1
56.35, 23.8, 3 5 2

For Tb4Pm2ThSc, a DFT-relaxed cell (GGA-PBE, Alexandria) gives the calculated XRD peak list in this record (Cu Kα (λ = 1.5418 Å)).
Neutral-atom scattering factors, no anomalous dispersion.

Cell and atoms:
Unit cell a=5.8925 b=5.8925 c=7.3112 alpha=90.00 beta=90.00 gamma=90.00
Space group P4/mmm (No. 123)
Asymmetric unit:
Tb: 0.0000 0.5000 0.2410
Pm: 0.0000 0.0000 0.5000
Pm: 0.5000 0.5000 0.5000
Th: 0.0000 0.0000 0.0000
Sc: 0.5000 0.5000 0.0000

Most intense lines, 2θ = 10–90°, in order of rising 2θ:
Position (°2θ), I/Imax, hkl
30.34, 60.7, 2 0 0
32.59, 100.0, 1 1 2
43.44, 22.9, 2 2 0
55.34, 44.6, 3 1 2
59.52, 17.6, 2 0 4
68.26, 11.6, 2 2 4
71.62, 10.4, 4 2 0
88.80, 12.3, 5 1 2

For TbPmTm2Sc, a DFT-relaxed cell (GGA-PBE, Alexandria) gives the calculated XRD peak list in this record (Cu Kα (λ = 1.5418 Å)).
Neutral-atom scattering factors, no anomalous dispersion.

Cell and atoms:
Unit cell a=8.1392 b=11.1817 c=7.0627 alpha=90.00 beta=90.00 gamma=90.00
Space group Cmcm (No. 63)
Asymmetric unit:
Tb: 0.0000 0.2319 0.2500
Pm: 0.0000 0.2296 0.7500
Tm: 0.1964 0.0000 0.0000
Sc: 0.0000 0.4964 0.7500

Most intense lines, 2θ = 10–90°, in order of rising 2θ:
Position (°2θ), I/Imax, hkl
27.10, 98.5, 2 2 0
29.93, 100.0, 0 2 2
32.02, 51.7, 0 4 0
33.60, 80.5, 2 0 2
36.76, 23.4, 1 3 2
41.15, 23.6, 3 3 0
47.09, 55.6, 2 4 2
59.41, 22.5, 2 2 4